Computed X-ray diffraction stick pattern of DyZr2Tc9 for CuKα, from a PBE-relaxed structure.

Structural model:
```
data_DyZr2Tc9
_chemical_formula_sum 'Dy3 Zr6 Tc27'
_cell_length_a 5.2597
_cell_length_b 5.2597
_cell_length_c 26.0803
_cell_angle_alpha 90.00
_cell_angle_beta 90.00
_cell_angle_gamma 120.00
_space_group_name_H-M_alt 'R -3 m'
_space_group_IT_number 166
_space_group_name_Hall '-R 3 2"'
loop_
_atom_site_label
_atom_site_type_symbol
_atom_site_fract_x
_atom_site_fract_y
_atom_site_fract_z
_atom_site_occupancy
Dy1 Dy 0.0000 0.0000 0.0000 1
Zr1 Zr 0.0000 0.0000 0.1428 1
Tc1 Tc 0.0000 0.0000 0.3360 1
Tc2 Tc 0.0000 0.0000 0.5000 1
Tc3 Tc 0.0092 0.5046 0.9147 1
```

Peak list (10 most intense, 5° ≤ 2θ ≤ 70°, low angle first)
2θ/deg, d_spacing, intensity, h k l
31.01, 2.884, 13, 1 0 7
33.81, 2.651, 22, 0 1 8
34.09, 2.630, 26, 1 1 0
39.73, 2.269, 30, 0 2 1
40.07, 2.250, 100, 1 1 6
40.19, 2.244, 14, 2 0 2
41.55, 2.173, 26, 0 0 12
42.02, 2.150, 9, 0 2 4
43.35, 2.087, 24, 2 0 5
65.07, 1.433, 23, 0 3 6

***

Computed X-ray diffraction stick pattern of TaCrCd for CuKα, from a PBE-relaxed structure.

Structural model:
```
data_TaCrCd
_chemical_formula_sum 'Ta4 Cr4 Cd4'
_cell_length_a 3.2854
_cell_length_b 4.5923
_cell_length_c 13.6018
_cell_angle_alpha 90.00
_cell_angle_beta 90.00
_cell_angle_gamma 90.00
_space_group_name_H-M_alt 'F m m 2'
_space_group_IT_number 42
_space_group_name_Hall 'F 2 -2'
loop_
_atom_site_label
_atom_site_type_symbol
_atom_site_fract_x
_atom_site_fract_y
_atom_site_fract_z
_atom_site_occupancy
Ta1 Ta 0.0000 0.0000 0.0000 1
Cr1 Cr 0.0000 0.0000 0.3595 1
Cd1 Cd 0.0000 0.0000 0.6896 1
```

Peak list (10 most intense, 5° ≤ 2θ ≤ 70°, low angle first)
2θ/deg, d_spacing, intensity, h k l
13.02, 6.801, 23, 0 0 2
26.21, 3.400, 17, 0 0 4
34.20, 2.622, 18, 1 1 1
39.13, 2.302, 100, 1 1 3
39.24, 2.296, 26, 0 2 0
39.76, 2.267, 20, 0 0 6
47.77, 1.904, 11, 0 2 4
55.98, 1.643, 9, 2 0 0
57.09, 1.613, 14, 0 2 6
58.75, 1.572, 12, 1 1 7

***

Computed X-ray diffraction stick pattern of CdSbS2Cl for CuKα, from a PBE-relaxed structure.

Structural model:
```
data_CdSbS2Cl
_chemical_formula_sum 'Cd4 Sb4 S8 Cl4'
_cell_length_a 9.6868
_cell_length_b 3.9543
_cell_length_c 12.8028
_cell_angle_alpha 90.00
_cell_angle_beta 90.00
_cell_angle_gamma 90.00
_space_group_name_H-M_alt 'P n m a'
_space_group_IT_number 62
_space_group_name_Hall '-P 2ac 2n'
loop_
_atom_site_label
_atom_site_type_symbol
_atom_site_fract_x
_atom_site_fract_y
_atom_site_fract_z
_atom_site_occupancy
Cd1 Cd 0.0045 0.2500 0.2329 1
Sb1 Sb 0.1833 0.2500 0.5332 1
S1 S 0.0544 0.7500 0.3915 1
S2 S 0.2368 0.7500 0.6660 1
Cl1 Cl 0.0683 0.2500 0.8904 1
```

Peak list (10 most intense, 5° ≤ 2θ ≤ 70°, low angle first)
2θ/deg, d_spacing, intensity, h k l
23.03, 3.862, 90, 2 0 2
25.30, 3.520, 27, 1 1 1
28.51, 3.131, 32, 3 0 1
30.83, 2.901, 100, 0 1 3
32.22, 2.779, 57, 1 1 3
36.09, 2.488, 25, 2 1 3
44.43, 2.039, 24, 4 1 1
45.90, 1.977, 31, 0 2 0
46.20, 1.965, 66, 2 1 5
51.96, 1.760, 25, 2 2 2